No. 1
For Cs4KF, the PBE geometry in Alexandria gives the simulated powder diffraction line list in this record (copper Kα).
Neutral-atom scattering factors, no anomalous dispersion.

Cell and atoms:
```
Cs4KF
1.0
12.8201 0.0000 0.0000
0.0000 8.4609 0.0000
0.0000 0.0000 9.6999
Cs K F
8 2 2
Direct
0.0000 0.1480 0.0000
0.0000 0.7191 0.7408
0.1725 0.7130 0.1871
0.3275 0.2870 0.6871
0.5000 0.2809 0.2408
0.5000 0.8520 0.5000
0.6725 0.2870 0.6871
0.8275 0.7130 0.1871
0.0000 0.2202 0.4657
0.5000 0.7798 0.9657
0.0000 0.8150 0.0240
0.5000 0.1850 0.5240
```

Main lines, low angle first (2θ = 10–90°):
2θ/deg	Rel. int.
11.44	39.0
13.85	33.2
19.64	86.6
21.00	44.8
22.24	100.0
22.74	47.6
31.17	56.1
34.79	30.3

***

No. 2
For Ca2Hg3Ge, the PBE geometry in Alexandria gives the simulated powder diffraction line list in this record (copper Kα).
Neutral-atom scattering factors, no anomalous dispersion.

Cell and atoms:
```
Ca2Hg3Ge
1.0
3.6156 0.0000 0.0000
0.0000 4.9041 0.0000
0.0000 0.0000 8.4535
Ca Hg Ge
2 3 1
Direct
0.0000 0.0000 0.0000
0.0000 0.5000 0.4885
0.5000 0.0000 0.6554
0.5000 0.5000 0.1641
0.5000 0.5000 0.8255
0.5000 0.0000 0.3284
```

Main lines, low angle first (2θ = 10–90°):
2θ/deg	Rel. int.
20.97	56.2
24.62	60.8
32.56	100.0
36.65	37.0
36.79	72.8
44.65	26.2
44.77	51.9
64.05	43.3

***

No. 3
For SiSnSe4, the PBE geometry in Alexandria gives the simulated powder diffraction line list in this record (copper Kα).
Neutral-atom scattering factors, no anomalous dispersion.

Cell and atoms:
```
SiSnSe4
1.0
6.0374 0.0000 0.0000
0.0000 6.0374 0.0000
0.0000 0.0000 9.7248
Si Sn Se
2 2 8
Direct
0.0000 0.5000 0.2500
0.5000 0.0000 0.7500
0.0000 0.0000 0.0000
0.0000 0.0000 0.5000
0.2478 0.2854 0.3714
0.2478 0.7146 0.1286
0.2854 0.2478 0.8714
0.2854 0.7522 0.6286
0.7146 0.2478 0.6286
0.7146 0.7522 0.8714
0.7522 0.2854 0.1286
0.7522 0.7146 0.3714
```

Main lines, low angle first (2θ = 10–90°):
2θ/deg	Rel. int.
14.67	14.1
23.49	18.8
27.81	100.0
33.18	12.6
38.12	13.4
42.34	25.5
48.05	37.5
51.42	30.2

***

No. 4
For Mn4In4Se5S5, the PBE geometry in Alexandria gives the simulated powder diffraction line list in this record (copper Kα).
Neutral-atom scattering factors, no anomalous dispersion.

Cell and atoms:
```
Mn4In4Se5S5
1.0
16.8488 -1.9685 0.0000
16.8488 1.9685 0.0000
-1.3149 0.0000 6.8116
Mn In Se S
4 4 5 5
Direct
0.0000 0.0000 0.0000
0.4101 0.4101 0.6855
0.5006 0.5006 0.4858
0.9129 0.9129 0.2281
0.1110 0.1110 0.4325
0.2990 0.2990 0.2887
0.6082 0.6082 0.9292
0.7973 0.7973 0.7861
0.1485 0.1485 0.1318
0.2581 0.2581 0.5785
0.6497 0.6497 0.6406
0.7590 0.7590 0.0848
0.8744 0.8744 0.8453
0.0377 0.0377 0.3628
0.3726 0.3726 0.3373
0.4573 0.4573 0.1325
0.5347 0.5347 0.8578
0.9546 0.9546 0.6098
```

Main lines, low angle first (2θ = 10–90°):
2θ/deg	Rel. int.
16.07	62.0
21.49	35.8
26.02	59.1
30.64	100.0
45.49	65.2
46.11	51.0
46.51	33.8
46.89	43.8